Record 1
Starting from a structure optimized by DFT (GGA-PBE), the PXRD pattern of NpPH2O8 was calculated for copper Kα.

Cell and atoms:
abc: 4.6404 5.1243 6.1426
angles: 93.27 95.80 90.34
Atoms (fractional coordinates):
Np (0.0000, 0.0000, 0.0000)
P (0.0000, 0.0000, 0.5000)
H (0.4275, 0.2207, 0.5845)
H (0.5725, 0.7793, 0.4155)
O (0.1887, 0.8588, 0.7187)
O (0.2157, 0.8556, 0.3244)
O (0.2210, 0.2625, 0.5327)
O (0.2495, 0.2692, 0.0259)
O (0.7505, 0.7308, 0.9741)
O (0.7790, 0.7375, 0.4673)
O (0.7843, 0.1444, 0.6756)
O (0.8113, 0.1412, 0.2813)

Top 12 peaks for 10° ≤ 2θ ≤ 80°, in order of falling intensity:
17.33 deg, d 5.116, I 100; 19.23 deg, d 4.616, I 71; 14.52 deg, d 6.101, I 44; 29.28 deg, d 3.050, I 37; 25.84 deg, d 3.447, I 36; 26.15 deg, d 3.407, I 27; 40.17 deg, d 2.245, I 22; 22.02 deg, d 4.037, I 20; 22.95 deg, d 3.875, I 19; 23.33 deg, d 3.813, I 18; 38.69 deg, d 2.327, I 17; 42.84 deg, d 2.111, I 16


Record 2
Starting from a structure optimized by DFT (GGA-PBE), the PXRD pattern of Al2InTeO8 was calculated for copper Kα.

Cell and atoms:
abc: 4.5838 4.5838 6.2030
angles: 90.00 90.00 90.11
Atoms (fractional coordinates):
Al (0.0000, 0.0000, 0.2485)
Al (0.0000, 0.0000, 0.7515)
In (0.5000, 0.5000, 0.5000)
Te (0.5000, 0.5000, 0.0000)
O (0.1741, 0.1741, 0.5000)
O (0.1950, 0.1950, 0.0000)
O (0.2948, 0.7052, 0.2281)
O (0.2948, 0.7052, 0.7719)
O (0.7052, 0.2948, 0.2281)
O (0.7052, 0.2948, 0.7719)
O (0.8050, 0.8050, 0.0000)
O (0.8259, 0.8259, 0.5000)

Top 12 peaks for 10° ≤ 2θ ≤ 80°, in order of falling intensity:
27.52 deg, d 3.241, I 100; 19.36 deg, d 4.584, I 74; 34.93 deg, d 2.569, I 68; 53.59 deg, d 1.710, I 65; 40.23 deg, d 2.242, I 36; 44.20 deg, d 2.049, I 23; 68.45 deg, d 1.371, I 21; 28.79 deg, d 3.102, I 16; 49.45 deg, d 1.843, I 15; 39.31 deg, d 2.292, I 15; 66.88 deg, d 1.399, I 15; 64.25 deg, d 1.450, I 13


Record 3
Starting from a structure optimized by DFT (GGA-PBE), the PXRD pattern of Ho6Tl5Pb was calculated for copper Kα.

Cell and atoms:
abc: 9.2940 9.2940 9.2940
angles: 146.42 132.11 59.75
Atoms (fractional coordinates):
Ho (0.0834, 0.3332, 0.7502)
Ho (0.2502, 0.0000, 0.2502)
Ho (0.4170, 0.6668, 0.7502)
Ho (0.5830, 0.3332, 0.2498)
Ho (0.7498, 0.0000, 0.7498)
Ho (0.9166, 0.6668, 0.2498)
Tl (0.0000, 0.5000, 0.5000)
Tl (0.1659, 0.1659, 0.0000)
Tl (0.3305, 0.8305, 0.5000)
Tl (0.6695, 0.1695, 0.5000)
Tl (0.8341, 0.8341, 0.0000)
Pb (0.5000, 0.5000, 0.0000)

Top 12 peaks for 10° ≤ 2θ ≤ 80°, in order of falling intensity:
33.48 deg, d 2.676, I 100; 33.36 deg, d 2.686, I 50; 59.71 deg, d 1.549, I 39; 59.94 deg, d 1.543, I 19; 47.90 deg, d 1.899, I 19; 79.90 deg, d 1.201, I 17; 70.36 deg, d 1.338, I 12; 48.26 deg, d 1.886, I 9; 70.08 deg, d 1.343, I 6; 23.42 deg, d 3.798, I 1; 41.27 deg, d 2.188, I 1; 23.59 deg, d 3.772, I 1


Record 4
Starting from a structure optimized by DFT (GGA-PBE), the PXRD pattern of SrTmCu2Se4 was calculated for copper Kα.

Cell and atoms:
abc: 6.3834 6.3834 6.3834
angles: 114.10 114.04 100.62
Atoms (fractional coordinates):
Sr (0.0000, 0.0000, 0.0000)
Tm (0.5000, 0.5000, 0.0000)
Cu (0.2508, 0.7508, 0.5000)
Cu (0.7492, 0.2492, 0.5000)
Se (0.0737, 0.0734, 0.5596)
Se (0.4862, 0.9266, 0.0003)
Se (0.5138, 0.5141, 0.4404)
Se (0.9263, 0.4859, 0.9997)

Top 12 peaks for 10° ≤ 2θ ≤ 80°, in order of falling intensity:
28.45 deg, d 3.137, I 100; 36.59 deg, d 2.456, I 66; 46.99 deg, d 1.934, I 56; 33.91 deg, d 2.644, I 49; 52.70 deg, d 1.737, I 20; 58.88 deg, d 1.568, I 19; 16.77 deg, d 5.288, I 18; 30.80 deg, d 2.903, I 15; 18.06 deg, d 4.912, I 14; 44.45 deg, d 2.038, I 12; 48.35 deg, d 1.883, I 12; 64.16 deg, d 1.452, I 11


Record 5
Starting from a structure optimized by DFT (GGA-PBE), the PXRD pattern of Zn2Cu3Au2 was calculated for copper Kα.

Cell and atoms:
abc: 2.8072 6.3960 6.6395
angles: 61.97 89.67 77.36
Atoms (fractional coordinates):
Zn (0.0855, 0.3379, 0.4244)
Zn (0.9145, 0.6621, 0.5756)
Cu (0.0000, 0.5000, 0.0000)
Cu (0.2976, 0.8960, 0.7216)
Cu (0.7024, 0.1040, 0.2784)
Au (0.3675, 0.7727, 0.1767)
Au (0.6325, 0.2273, 0.8233)

Top 12 peaks for 10° ≤ 2θ ≤ 80°, in order of falling intensity:
38.87 deg, d 2.317, I 100; 41.54 deg, d 2.174, I 72; 16.03 deg, d 5.528, I 69; 42.20 deg, d 2.141, I 69; 44.32 deg, d 2.044, I 64; 42.56 deg, d 2.124, I 47; 40.63 deg, d 2.221, I 46; 42.85 deg, d 2.111, I 43; 40.46 deg, d 2.229, I 43; 32.72 deg, d 2.737, I 33; 66.64 deg, d 1.404, I 22; 32.39 deg, d 2.764, I 20


Record 6
Starting from a structure optimized by DFT (GGA-PBE), the PXRD pattern of NaPr2PaSe5 was calculated for copper Kα.

Cell and atoms:
abc: 8.6382 8.6382 8.6382
angles: 144.25 128.87 63.96
Atoms (fractional coordinates):
Na (0.0000, 0.0000, 0.0000)
Pr (0.2984, 0.7984, 0.5000)
Pr (0.7016, 0.2016, 0.5000)
Pa (0.5000, 0.5000, 0.0000)
Se (0.1093, 0.3524, 0.7568)
Se (0.4044, 0.6476, 0.7568)
Se (0.5000, 0.0000, 0.5000)
Se (0.5956, 0.3524, 0.2432)
Se (0.8907, 0.6476, 0.2432)

Top 12 peaks for 10° ≤ 2θ ≤ 80°, in order of falling intensity:
13.32 deg, d 6.645, I 100; 23.90 deg, d 3.723, I 68; 34.68 deg, d 2.587, I 60; 48.92 deg, d 1.862, I 38; 34.32 deg, d 2.613, I 36; 33.80 deg, d 2.652, I 34; 32.83 deg, d 2.728, I 27; 17.79 deg, d 4.987, I 19; 47.84 deg, d 1.901, I 19; 36.48 deg, d 2.463, I 18; 42.00 deg, d 2.151, I 16; 50.79 deg, d 1.798, I 16